# 1
# ZnHg2SbF6
Computed powder diffraction line list, Cu Kα (weighted mean of Kα1 and Kα2). Input: a structure optimized by DFT (GGA-PBE).

Principal peaks in the range 2θ = 15–90°, low angle first:
Position (°2θ)  I/Imax
29.0  100.0
35.8  13.5
41.5  31.4
51.5  42.1
60.2  16.7
68.2  18.5

Cell and atoms:
```
ZnHg2SbF6
1.0
-3.072 3.078 4.348
3.072 -3.078 4.348
3.072 3.078 -4.348
Zn Hg Sb F
1 2 1 6
direct
0.000 0.000 0.000
0.250 0.750 0.500
0.750 0.250 0.500
0.500 0.500 0.000
0.241 0.242 0.483
0.241 0.758 0.999
0.242 0.242 0.000
0.758 0.758 0.000
0.759 0.242 0.001
0.759 0.758 0.517
```

# 2
# Ti2In3Br9
Computed powder diffraction line list, Cu Kα (weighted mean of Kα1 and Kα2). Input: a structure optimized by DFT (GGA-PBE).

Principal peaks in the range 2θ = 15–90°, low angle first:
Position (°2θ)  I/Imax
28.5  25.4
28.8  100.0
30.8  94.6
33.3  42.8
36.4  33.4
48.1  55.9

Cell and atoms:
```
Ti2In3Br9
1.0
7.573 0.000 0.000
-3.787 6.559 0.000
0.000 0.000 18.782
Ti In Br
4 6 18
direct
0.333 0.667 0.000
0.333 0.667 0.167
0.667 0.333 0.500
0.667 0.333 0.667
0.000 0.000 0.128
0.000 0.000 0.628
0.333 0.667 0.382
0.333 0.667 0.797
0.667 0.333 0.297
0.667 0.333 0.882
0.014 0.507 0.085
0.174 0.348 0.247
0.174 0.349 0.923
0.174 0.826 0.247
0.174 0.826 0.923
0.348 0.174 0.747
0.349 0.174 0.423
0.493 0.507 0.085
0.493 0.986 0.085
0.507 0.014 0.585
0.507 0.493 0.585
0.651 0.826 0.923
0.652 0.826 0.247
0.826 0.174 0.423
0.826 0.174 0.747
0.826 0.651 0.423
0.826 0.652 0.747
0.986 0.493 0.585
```

# 3
# Bi5TeRh3
Computed powder diffraction line list, Cu Kα (weighted mean of Kα1 and Kα2). Input: a structure optimized by DFT (GGA-PBE).

Principal peaks in the range 2θ = 15–90°, low angle first:
Position (°2θ)  I/Imax
28.3  24.8
29.3  100.0
29.7  32.6
43.6  23.2
48.4  24.1
48.8  22.6

Cell and atoms:
```
Bi5TeRh3
1.0
6.096 -4.495 0.000
6.096 4.495 0.000
-3.585 0.000 9.023
Bi Te Rh
10 2 6
direct
0.060 0.060 0.362
0.138 0.541 0.317
0.201 0.799 0.000
0.267 0.267 0.966
0.459 0.862 0.683
0.541 0.138 0.317
0.733 0.733 0.034
0.799 0.201 0.000
0.862 0.459 0.683
0.940 0.940 0.638
0.401 0.401 0.700
0.599 0.599 0.300
0.165 0.165 0.168
0.174 0.174 0.659
0.500 0.500 0.000
0.500 0.500 0.500
0.826 0.826 0.341
0.835 0.835 0.832
```

# 4
# Tb2PmHfAs4
Computed powder diffraction line list, Cu Kα (weighted mean of Kα1 and Kα2). Input: a structure optimized by DFT (GGA-PBE).

Principal peaks in the range 2θ = 15–90°, low angle first:
Position (°2θ)  I/Imax
26.8  23.3
31.0  100.0
44.5  61.6
55.1  12.8
55.3  13.0
81.9  14.5

Cell and atoms:
```
Tb2PmHfAs4
1.0
7.053 0.000 0.000
0.000 4.073 0.000
-2.329 0.000 6.669
Tb Pm Hf As
2 1 1 4
direct
0.000 0.000 0.000
0.000 0.500 0.500
0.500 0.000 0.500
0.500 0.500 0.000
0.253 0.500 0.238
0.262 0.000 0.766
0.738 0.000 0.234
0.747 0.500 0.762
```

# 5
# Ac3Ga4Rh2
Computed powder diffraction line list, Cu Kα (weighted mean of Kα1 and Kα2). Input: a structure optimized by DFT (GGA-PBE).

Principal peaks in the range 2θ = 15–90°, low angle first:
Position (°2θ)  I/Imax
22.4  31.6
31.0  55.7
31.2  100.0
31.7  30.7
36.8  24.7
38.7  41.5

Cell and atoms:
```
Ac3Ga4Rh2
1.0
5.587 -2.328 0.000
5.587 2.328 0.000
-1.927 0.000 8.460
Ac Ga Rh
3 4 2
direct
0.000 0.000 0.000
0.386 0.386 0.302
0.614 0.614 0.698
0.112 0.112 0.409
0.282 0.282 0.916
0.718 0.718 0.084
0.888 0.888 0.591
0.308 0.308 0.631
0.692 0.692 0.369
```

# 6
# Te2S3Cl
Computed powder diffraction line list, Cu Kα (weighted mean of Kα1 and Kα2). Input: a structure optimized by DFT (GGA-PBE).

Principal peaks in the range 2θ = 15–90°, low angle first:
Position (°2θ)  I/Imax
17.8  50.5
23.0  100.0
25.6  83.8
28.5  40.2
32.4  48.4
33.7  69.4

Cell and atoms:
```
Te2S3Cl
1.0
6.798 0.000 0.000
-2.024 6.884 0.000
-3.147 -1.580 7.727
Te S Cl
4 6 2
direct
0.049 0.082 0.220
0.290 0.656 0.222
0.710 0.344 0.778
0.951 0.918 0.780
0.056 0.609 0.817
0.266 0.143 0.035
0.449 0.619 0.528
0.551 0.381 0.472
0.734 0.857 0.965
0.944 0.391 0.183
0.279 0.004 0.656
0.721 0.996 0.344
```

# 7
# HfAg2Br
Computed powder diffraction line list, Cu Kα (weighted mean of Kα1 and Kα2). Input: a structure optimized by DFT (GGA-PBE).

Principal peaks in the range 2θ = 15–90°, low angle first:
Position (°2θ)  I/Imax
31.4  100.0
36.5  66.8
45.0  36.2
48.9  57.0
68.6  20.0
73.3  16.6

Cell and atoms:
```
HfAg2Br
1.0
-4.031 4.031 2.726
4.031 -4.031 2.726
4.031 4.031 -2.726
Hf Ag Br
2 4 2
direct
0.000 0.000 0.000
0.750 0.250 0.500
0.116 0.625 0.991
0.375 0.366 0.491
0.634 0.125 0.009
0.875 0.884 0.509
0.250 0.750 0.500
0.500 0.500 0.000
```

# 8
# NdBeCu4
Computed powder diffraction line list, Cu Kα (weighted mean of Kα1 and Kα2). Input: a structure optimized by DFT (GGA-PBE).

Principal peaks in the range 2θ = 15–90°, low angle first:
Position (°2θ)  I/Imax
30.5  100.0
40.3  67.5
42.0  98.1
46.8  36.6
59.6  36.3
63.4  33.5

Cell and atoms:
```
NdBeCu4
1.0
5.169 0.000 0.000
-2.585 4.477 0.000
0.000 0.000 3.886
Nd Be Cu
1 1 4
direct
0.000 0.000 0.000
0.333 0.667 0.000
0.011 0.505 0.500
0.495 0.505 0.500
0.495 0.989 0.500
0.667 0.333 0.000
```